# Er4CrS7
Simulated powder diffractogram, Cu Kα. Input: a DFT-relaxed cell (GGA-PBE, Alexandria).
Peak positions follow from Bragg's law for the DFT cell and can differ from measured ones.

Main lines, low angle first (15 to 90 degrees two-theta):
- (2 0 -3), 24.90°, rel. 100.0
- (2 0 2), 25.09°, rel. 86.2
- (1 1 -2), 28.57°, rel. 45.8
- (4 0 -1), 28.93°, rel. 45.8
- (3 1 -1), 32.27°, rel. 46.6
- (3 1 0), 32.84°, rel. 59.6
- (3 1 -2), 33.79°, rel. 56.7
- (3 1 1), 35.43°, rel. 62.2

Crystal structure
Lattice parameters (Å, degrees): 12.344 3.769 11.361 90.00 106.22 90.00
Space group Cm (No. 8)
Asymmetric unit:
Er (0.000, 0.000, 0.000) [2 per cell]
Er (0.068, 0.500, 0.343) [2 per cell]
Er (0.195, 0.500, 0.784) [2 per cell]
Er (0.387, 0.000, 0.587) [2 per cell]
Cr (0.296, 0.500, 0.201) [2 per cell]
S (0.034, 0.000, 0.724) [2 per cell]
S (0.158, 0.500, 0.005) [2 per cell]
S (0.174, 0.000, 0.252) [2 per cell]
S (0.225, 0.500, 0.561) [2 per cell]
S (0.358, 0.000, 0.835) [2 per cell]
S (0.409, 0.000, 0.133) [2 per cell]
S (0.434, 0.500, 0.411) [2 per cell]